Simulated XRD peak list of H2Pd5Pb4 for Cu Kα X-rays, from the GGA-PBE geometry in Alexandria.
Kinematic intensities with the Lorentz-polarization factor, no thermal factor.

Crystal structure
```
data_H2Pd5Pb4
_symmetry_space_group_name_H-M 'I b a m'
_symmetry_Int_Tables_number 72
_symmetry_space_group_name_Hall '-I 2 2c'
_cell_length_a 10.141
_cell_length_b 14.780
_cell_length_c 5.376
_cell_angle_alpha 90.00
_cell_angle_beta 90.00
_cell_angle_gamma 90.00
loop_
_atom_site_label
_atom_site_type_symbol
_atom_site_fract_x
_atom_site_fract_y
_atom_site_fract_z
_atom_site_occupancy
H1 H 0.000 0.156 0.250 1
Pd1 Pd 0.000 0.500 0.250 1
Pd2 Pd 0.054 0.088 0.000 1
Pd3 Pd 0.158 0.259 0.000 1
Pb1 Pb 0.105 0.333 0.500 1
Pb2 Pb 0.232 0.069 0.500 1
```

Most intense lines, 2θ = 10–90°, in order of falling intensity:
(3 2 1), 2θ = 33.58°, intensity 100; (1 4 1), 2θ = 30.66°, intensity 56; (0 0 2), 2θ = 33.33°, intensity 54; (4 2 0), 2θ = 37.50°, intensity 29; (2 5 1), 2θ = 39.05°, intensity 28; (1 5 0), 2θ = 31.53°, intensity 27; (4 3 1), 2θ = 43.53°, intensity 26; (1 3 2), 2θ = 39.20°, intensity 22; (2 7 1), 2θ = 49.76°, intensity 22; (3 2 3), 2θ = 59.73°, intensity 20